Entry 1:
For Ag3GeI4, a PBE-relaxed structure gives the calculated powder diffraction line list in this record (Cu Kα).
Lines closer than 0.1° are merged.

Structural model:
```
data_Ag3GeI4
_chemical_formula_sum 'Ag6 Ge2 I8'
_space_group_name_H-M_alt 'P 1'
_space_group_IT_number 1
_cell_length_a 7.5987
_cell_length_b 7.5987
_cell_length_c 9.5015
_cell_angle_alpha 90.00
_cell_angle_beta 90.00
_cell_angle_gamma 90.00
loop_
_space_group_symop_operation_xyz
'x,y,z'
loop_
_atom_site_label
_atom_site_type_symbol
_atom_site_fract_x
_atom_site_fract_y
_atom_site_fract_z
_atom_site_occupancy
Ag1 Ag 0.0000 0.0000 0.0000 1
Ag2 Ag 0.0000 0.5000 0.2500 1
Ag3 Ag 0.0000 0.5000 0.7500 1
Ag4 Ag 0.5000 0.0000 0.2500 1
Ag5 Ag 0.5000 0.0000 0.7500 1
Ag6 Ag 0.5000 0.5000 0.5000 1
Ge1 Ge 0.0000 0.0000 0.5000 1
Ge2 Ge 0.5000 0.5000 0.0000 1
I1 I 0.2410 0.2410 0.1265 1
I2 I 0.2410 0.7590 0.8735 1
I3 I 0.2590 0.2590 0.6265 1
I4 I 0.2590 0.7410 0.3735 1
I5 I 0.7410 0.2590 0.3735 1
I6 I 0.7410 0.7410 0.6265 1
I7 I 0.7590 0.2410 0.8735 1
I8 I 0.7590 0.7590 0.1265 1
```

Principal peaks in the range 2θ from 10° to 90°, sorted by position:
d = 3.559 Å, I = 100
d = 2.687 Å, I = 46
d = 2.144 Å, I = 48
d = 2.014 Å, I = 40
d = 1.900 Å, I = 16
d = 1.676 Å, I = 11
d = 1.519 Å, I = 8
d = 1.422 Å, I = 12
d = 1.382 Å, I = 22
d = 1.322 Å, I = 10
d = 1.257 Å, I = 8
d = 1.201 Å, I = 7

Entry 2:
For PrErTm2Sc2, a PBE-relaxed structure gives the calculated powder diffraction line list in this record (Cu Kα).
Lines closer than 0.1° are merged.

Structural model:
```
data_PrErTm2Sc2
_chemical_formula_sum 'Pr2 Er2 Tm4 Sc4'
_space_group_name_H-M_alt 'P 1'
_space_group_IT_number 1
_cell_length_a 6.7375
_cell_length_b 9.5059
_cell_length_c 5.4531
_cell_angle_alpha 90.00
_cell_angle_beta 90.00
_cell_angle_gamma 90.00
loop_
_space_group_symop_operation_xyz
'x,y,z'
loop_
_atom_site_label
_atom_site_type_symbol
_atom_site_fract_x
_atom_site_fract_y
_atom_site_fract_z
_atom_site_occupancy
Pr1 Pr 0.0000 0.0000 0.0000 1
Pr2 Pr 0.5000 0.5000 0.5000 1
Er1 Er 0.0000 0.5000 0.5000 1
Er2 Er 0.5000 0.0000 0.0000 1
Tm1 Tm 0.2477 0.3333 0.0000 1
Tm2 Tm 0.2523 0.8333 0.5000 1
Tm3 Tm 0.7477 0.1667 0.5000 1
Tm4 Tm 0.7523 0.6667 0.0000 1
Sc1 Sc 0.2493 0.6666 0.0000 1
Sc2 Sc 0.2507 0.1666 0.5000 1
Sc3 Sc 0.7493 0.8334 0.5000 1
Sc4 Sc 0.7507 0.3334 0.0000 1
```

Principal peaks in the range 2θ from 10° to 90°, sorted by position:
d = 3.875 Å, I = 40
d = 2.745 Å, I = 100
d = 2.740 Å, I = 66
d = 2.727 Å, I = 32
d = 1.942 Å, I = 12
d = 1.936 Å, I = 24
d = 1.684 Å, I = 8
d = 1.584 Å, I = 19
d = 1.582 Å, I = 13
d = 1.577 Å, I = 25
d = 1.434 Å, I = 27
d = 1.151 Å, I = 9

Entry 3:
For ZnHgGe2O6, a PBE-relaxed structure gives the calculated powder diffraction line list in this record (Cu Kα).
Lines closer than 0.1° are merged.

Structural model:
```
data_ZnHgGe2O6
_chemical_formula_sum 'Zn2 Hg2 Ge4 O12'
_space_group_name_H-M_alt 'P 1'
_space_group_IT_number 1
_cell_length_a 7.4735
_cell_length_b 7.4735
_cell_length_c 5.6736
_cell_angle_alpha 105.81
_cell_angle_beta 105.81
_cell_angle_gamma 90.15
loop_
_space_group_symop_operation_xyz
'x,y,z'
loop_
_atom_site_label
_atom_site_type_symbol
_atom_site_fract_x
_atom_site_fract_y
_atom_site_fract_z
_atom_site_occupancy
Zn1 Zn 0.2386 0.7614 0.7500 1
Zn2 Zn 0.7614 0.2386 0.2500 1
Hg1 Hg 0.1099 0.8901 0.2500 1
Hg2 Hg 0.8901 0.1099 0.7500 1
Ge1 Ge 0.2179 0.3833 0.2831 1
Ge2 Ge 0.3833 0.2179 0.7831 1
Ge3 Ge 0.6167 0.7821 0.2169 1
Ge4 Ge 0.7821 0.6167 0.7169 1
O1 O 0.0171 0.2170 0.1609 1
O2 O 0.1596 0.6076 0.4077 1
O3 O 0.2170 0.0171 0.6609 1
O4 O 0.3090 0.3848 0.0228 1
O5 O 0.3848 0.3090 0.5228 1
O6 O 0.3924 0.8404 0.0923 1
O7 O 0.6076 0.1596 0.9077 1
O8 O 0.6152 0.6910 0.4772 1
O9 O 0.6910 0.6152 0.9772 1
O10 O 0.7830 0.9829 0.3391 1
O11 O 0.8404 0.3924 0.5923 1
O12 O 0.9829 0.7830 0.8391 1
```

Principal peaks in the range 2θ from 10° to 90°, sorted by position:
d = 7.166 Å, I = 69
d = 4.869 Å, I = 23
d = 3.448 Å, I = 100
d = 3.103 Å, I = 63
d = 2.985 Å, I = 54
d = 2.720 Å, I = 18
d = 2.648 Å, I = 38
d = 2.629 Å, I = 33
d = 2.617 Å, I = 35
d = 2.273 Å, I = 23
d = 1.811 Å, I = 25
d = 1.780 Å, I = 20

Entry 4:
For Y3HoRu3, a PBE-relaxed structure gives the calculated powder diffraction line list in this record (Cu Kα).
Lines closer than 0.1° are merged.

Structural model:
```
data_Y3HoRu3
_chemical_formula_sum 'Y3 Ho1 Ru3'
_space_group_name_H-M_alt 'P 1'
_space_group_IT_number 1
_cell_length_a 5.8381
_cell_length_b 5.8381
_cell_length_c 5.8381
_cell_angle_alpha 109.36
_cell_angle_beta 109.36
_cell_angle_gamma 109.36
loop_
_space_group_symop_operation_xyz
'x,y,z'
loop_
_atom_site_label
_atom_site_type_symbol
_atom_site_fract_x
_atom_site_fract_y
_atom_site_fract_z
_atom_site_occupancy
Y1 Y 0.1953 0.1953 0.6094 1
Y2 Y 0.1953 0.6094 0.1953 1
Y3 Y 0.6094 0.1953 0.1953 1
Ho1 Ho 0.7798 0.7798 0.7798 1
Ru1 Ru 0.1950 0.6961 0.6961 1
Ru2 Ru 0.6961 0.1950 0.6961 1
Ru3 Ru 0.6961 0.6961 0.1950 1
```

Principal peaks in the range 2θ from 10° to 90°, sorted by position:
d = 4.782 Å, I = 30
d = 2.765 Å, I = 23
d = 2.753 Å, I = 68
d = 2.391 Å, I = 91
d = 2.382 Å, I = 100
d = 2.132 Å, I = 20
d = 1.688 Å, I = 22
d = 1.590 Å, I = 27
d = 1.437 Å, I = 14
d = 1.377 Å, I = 20
d = 1.322 Å, I = 11
d = 1.156 Å, I = 11

Entry 5:
For BaMg6CdHg, a PBE-relaxed structure gives the calculated powder diffraction line list in this record (Cu Kα).
Lines closer than 0.1° are merged.

Structural model:
```
data_BaMg6CdHg
_chemical_formula_sum 'Ba2 Mg12 Cd2 Hg2'
_space_group_name_H-M_alt 'P 1'
_space_group_IT_number 1
_cell_length_a 9.0895
_cell_length_b 9.0895
_cell_length_c 9.0895
_cell_angle_alpha 128.97
_cell_angle_beta 110.67
_cell_angle_gamma 91.04
loop_
_space_group_symop_operation_xyz
'x,y,z'
loop_
_atom_site_label
_atom_site_type_symbol
_atom_site_fract_x
_atom_site_fract_y
_atom_site_fract_z
_atom_site_occupancy
Ba1 Ba 0.4497 0.1997 0.2500 1
Ba2 Ba 0.5503 0.8003 0.7500 1
Mg1 Mg 0.1103 0.4286 0.2912 1
Mg2 Mg 0.1103 0.8191 0.6817 1
Mg3 Mg 0.1650 0.9150 0.2500 1
Mg4 Mg 0.2473 0.4973 0.7500 1
Mg5 Mg 0.3626 0.1809 0.7912 1
Mg6 Mg 0.3626 0.5714 0.1817 1
Mg7 Mg 0.6374 0.4286 0.8183 1
Mg8 Mg 0.6374 0.8191 0.2088 1
Mg9 Mg 0.7527 0.5027 0.2500 1
Mg10 Mg 0.8350 0.0850 0.7500 1
Mg11 Mg 0.8897 0.1809 0.3183 1
Mg12 Mg 0.8897 0.5714 0.7088 1
Cd1 Cd 0.0000 0.0000 0.5000 1
Cd2 Cd 0.0000 0.5000 0.0000 1
Hg1 Hg 0.0000 0.0000 0.0000 1
Hg2 Hg 0.5000 0.0000 0.5000 1
```

Principal peaks in the range 2θ from 10° to 90°, sorted by position:
d = 6.671 Å, I = 93
d = 4.086 Å, I = 26
d = 4.014 Å, I = 100
d = 3.519 Å, I = 53
d = 3.336 Å, I = 26
d = 3.026 Å, I = 86
d = 2.773 Å, I = 24
d = 2.585 Å, I = 39
d = 2.557 Å, I = 19
d = 2.229 Å, I = 34
d = 2.043 Å, I = 30
d = 1.760 Å, I = 23

Entry 6:
For TlGaFeIr2, a PBE-relaxed structure gives the calculated powder diffraction line list in this record (Cu Kα).
Lines closer than 0.1° are merged.

Structural model:
```
data_TlGaFeIr2
_chemical_formula_sum 'Tl1 Ga1 Fe1 Ir2'
_space_group_name_H-M_alt 'P 1'
_space_group_IT_number 1
_cell_length_a 4.5245
_cell_length_b 4.5245
_cell_length_c 4.9417
_cell_angle_alpha 90.00
_cell_angle_beta 90.00
_cell_angle_gamma 90.00
loop_
_space_group_symop_operation_xyz
'x,y,z'
loop_
_atom_site_label
_atom_site_type_symbol
_atom_site_fract_x
_atom_site_fract_y
_atom_site_fract_z
_atom_site_occupancy
Tl1 Tl 0.0000 0.0000 0.0000 1
Ga1 Ga 0.5000 0.5000 0.0000 1
Fe1 Fe 0.0000 0.0000 0.5000 1
Ir1 Ir 0.0000 0.5000 0.5000 1
Ir2 Ir 0.5000 0.0000 0.5000 1
```

Principal peaks in the range 2θ from 10° to 90°, sorted by position:
d = 4.942 Å, I = 9
d = 4.524 Å, I = 18
d = 2.686 Å, I = 100
d = 2.471 Å, I = 29
d = 2.262 Å, I = 45
d = 2.169 Å, I = 5
d = 1.669 Å, I = 35
d = 1.600 Å, I = 15
d = 1.465 Å, I = 16
d = 1.374 Å, I = 26
d = 1.343 Å, I = 17
d = 1.131 Å, I = 5

Entry 7:
For LiPu5S8, a PBE-relaxed structure gives the calculated powder diffraction line list in this record (Cu Kα).
Lines closer than 0.1° are merged.

Structural model:
```
data_LiPu5S8
_chemical_formula_sum 'Li1 Pu5 S8'
_space_group_name_H-M_alt 'P 1'
_space_group_IT_number 1
_cell_length_a 7.1885
_cell_length_b 7.1885
_cell_length_c 7.1885
_cell_angle_alpha 109.76
_cell_angle_beta 109.76
_cell_angle_gamma 108.89
loop_
_space_group_symop_operation_xyz
'x,y,z'
loop_
_atom_site_label
_atom_site_type_symbol
_atom_site_fract_x
_atom_site_fract_y
_atom_site_fract_z
_atom_site_occupancy
Li1 Li 0.0000 0.0000 0.0000 1
Pu1 Pu 0.2412 0.6207 0.1218 1
Pu2 Pu 0.3793 0.5011 0.6204 1
Pu3 Pu 0.4989 0.1193 0.8782 1
Pu4 Pu 0.7500 0.2500 0.5000 1
Pu5 Pu 0.8807 0.7588 0.3796 1
S1 S 0.1203 0.7249 0.7494 1
S2 S 0.1322 0.2313 0.7439 1
S3 S 0.2751 0.0245 0.3954 1
S4 S 0.4873 0.3882 0.2561 1
S5 S 0.6118 0.8678 0.0991 1
S6 S 0.6291 0.8797 0.6046 1
S7 S 0.7687 0.5127 0.9009 1
S8 S 0.9755 0.3709 0.2506 1
```

Principal peaks in the range 2θ from 10° to 90°, sorted by position:
d = 5.868 Å, I = 38
d = 3.401 Å, I = 56
d = 3.383 Å, I = 100
d = 2.641 Å, I = 30
d = 2.617 Å, I = 80
d = 2.226 Å, I = 36
d = 2.213 Å, I = 41
d = 1.853 Å, I = 25
d = 1.771 Å, I = 24
d = 1.633 Å, I = 16
d = 1.622 Å, I = 20
d = 1.343 Å, I = 23

Entry 8:
For AsBr4, a PBE-relaxed structure gives the calculated powder diffraction line list in this record (Cu Kα).
Lines closer than 0.1° are merged.

Structural model:
```
data_AsBr4
_chemical_formula_sum 'As2 Br8'
_space_group_name_H-M_alt 'P 1'
_space_group_IT_number 1
_cell_length_a 6.5671
_cell_length_b 6.5671
_cell_length_c 10.7958
_cell_angle_alpha 90.00
_cell_angle_beta 90.00
_cell_angle_gamma 90.00
loop_
_space_group_symop_operation_xyz
'x,y,z'
loop_
_atom_site_label
_atom_site_type_symbol
_atom_site_fract_x
_atom_site_fract_y
_atom_site_fract_z
_atom_site_occupancy
As1 As 0.0000 0.0000 0.0000 1
As2 As 0.5000 0.5000 0.5000 1
Br1 Br 0.2081 0.2132 0.8699 1
Br2 Br 0.2132 0.7919 0.1301 1
Br3 Br 0.2868 0.2919 0.3699 1
Br4 Br 0.2919 0.7132 0.6301 1
Br5 Br 0.7081 0.2868 0.6301 1
Br6 Br 0.7132 0.7081 0.3699 1
Br7 Br 0.7868 0.2081 0.1301 1
Br8 Br 0.7919 0.7868 0.8699 1
```

Principal peaks in the range 2θ from 10° to 90°, sorted by position:
d = 5.611 Å, I = 54
d = 4.644 Å, I = 9
d = 3.520 Å, I = 100
d = 3.284 Å, I = 19
d = 2.834 Å, I = 14
d = 2.322 Å, I = 17
d = 2.275 Å, I = 16
d = 2.085 Å, I = 30
d = 1.938 Å, I = 22
d = 1.870 Å, I = 10
d = 1.796 Å, I = 15
d = 1.678 Å, I = 11